Record 1
Computed X-ray powder pattern
Compound: ZrZn4Cu4
Radiation: Cu Ka
Structure: a DFT-relaxed cell (GGA-PBE, Alexandria)
Neutral-atom scattering factors, no anomalous dispersion.

Crystal structure
a b c (Å): 6.2401 6.2401 6.2401
angles (deg): 94.98 94.98 145.73
Sites, in units of the cell vectors:
Zr: 0.0000 0.0000 0.0000
Zn: 0.0000 0.3320 0.3320
Zn: 0.0000 0.6680 0.6680
Zn: 0.3320 0.0000 0.3320
Zn: 0.6680 0.0000 0.6680
Cu: 0.3258 0.3258 0.6517
Cu: 0.3258 0.6742 0.0000
Cu: 0.6742 0.3258 0.0000
Cu: 0.6742 0.6742 0.3483

Peak list (12 most intense, 10 to 90 degrees two-theta, by angle)
26.4 deg, d = 3.370 Å, intensity 1; 33.6 deg, d = 2.667 Å, intensity 1; 40.4 deg, d = 2.233 Å, intensity 100; 42.9 deg, d = 2.108 Å, intensity 1; 45.6 deg, d = 1.988 Å, intensity 34; 49.6 deg, d = 1.838 Å, intensity 14; 60.4 deg, d = 1.533 Å, intensity 1; 66.5 deg, d = 1.406 Å, intensity 10; 69.7 deg, d = 1.350 Å, intensity 18; 80.8 deg, d = 1.190 Å, intensity 22; 86.7 deg, d = 1.123 Å, intensity 10; 87.3 deg, d = 1.117 Å, intensity 9


Record 2
Computed X-ray powder pattern
Compound: ZrZn9Cu2
Radiation: Cu Ka
Structure: a DFT-relaxed cell (GGA-PBE, Alexandria)
Neutral-atom scattering factors, no anomalous dispersion.

Crystal structure
a b c (Å): 8.4812 8.4812 2.8883
angles (deg): 90.00 90.00 120.00
Sites, in units of the cell vectors:
Zr: 0.0000 0.0000 0.0000
Zn: 0.0000 0.5000 0.0000
Zn: 0.1817 0.3635 0.5000
Zn: 0.1817 0.8183 0.5000
Zn: 0.3635 0.1817 0.5000
Zn: 0.5000 0.0000 0.0000
Zn: 0.5000 0.5000 0.0000
Zn: 0.6365 0.8183 0.5000
Zn: 0.8183 0.1817 0.5000
Zn: 0.8183 0.6365 0.5000
Cu: 0.3333 0.6667 0.0000
Cu: 0.6667 0.3333 0.0000

Peak list (12 most intense, 10 to 90 degrees two-theta, by angle)
32.2 deg, d = 2.776 Å, intensity 8; 37.7 deg, d = 2.387 Å, intensity 35; 39.7 deg, d = 2.270 Å, intensity 71; 42.6 deg, d = 2.120 Å, intensity 100; 45.3 deg, d = 2.002 Å, intensity 21; 48.8 deg, d = 1.868 Å, intensity 19; 59.7 deg, d = 1.550 Å, intensity 18; 64.5 deg, d = 1.444 Å, intensity 10; 66.7 deg, d = 1.401 Å, intensity 10; 76.1 deg, d = 1.251 Å, intensity 16; 78.1 deg, d = 1.224 Å, intensity 12; 80.5 deg, d = 1.194 Å, intensity 28


Record 3
Computed X-ray powder pattern
Compound: Zr5Cu
Radiation: Cu Ka
Structure: a DFT-relaxed cell (GGA-PBE, Alexandria)
Neutral-atom scattering factors, no anomalous dispersion.

Crystal structure
a b c (Å): 11.0217 3.2228 7.7271
angles (deg): 90.00 109.68 90.00
Sites, in units of the cell vectors:
Zr: 0.0000 0.0000 0.0000
Zr: 0.0202 0.0000 0.4156
Zr: 0.1616 0.5000 0.7821
Zr: 0.2222 0.5000 0.2791
Zr: 0.3570 0.0000 0.6407
Zr: 0.5000 0.5000 0.0000
Zr: 0.5202 0.5000 0.4156
Zr: 0.6616 0.0000 0.7821
Zr: 0.7222 0.0000 0.2791
Zr: 0.8570 0.5000 0.6407
Cu: 0.3162 0.0000 0.0625
Cu: 0.8162 0.5000 0.0625

Peak list (12 most intense, 10 to 90 degrees two-theta, by angle)
32.5 deg, d = 2.755 Å, intensity 17; 34.6 deg, d = 2.596 Å, intensity 54; 35.1 deg, d = 2.559 Å, intensity 41; 35.2 deg, d = 2.551 Å, intensity 14; 36.3 deg, d = 2.475 Å, intensity 100; 38.2 deg, d = 2.358 Å, intensity 86; 47.0 deg, d = 1.932 Å, intensity 13; 55.5 deg, d = 1.656 Å, intensity 14; 57.2 deg, d = 1.611 Å, intensity 16; 61.8 deg, d = 1.502 Å, intensity 12; 68.5 deg, d = 1.369 Å, intensity 20; 68.9 deg, d = 1.363 Å, intensity 19


Record 4
Computed X-ray powder pattern
Compound: Zr7Cu10
Radiation: Cu Ka
Structure: a DFT-relaxed cell (GGA-PBE, Alexandria)
Neutral-atom scattering factors, no anomalous dispersion.

Crystal structure
a b c (Å): 7.9041 7.9041 9.4079
angles (deg): 90.00 90.00 72.69
Sites, in units of the cell vectors:
Zr: 0.0000 0.0000 0.0000
Zr: 0.0173 0.4827 0.2500
Zr: 0.1895 0.1895 0.5000
Zr: 0.1896 0.8104 0.6947
Zr: 0.3104 0.6896 0.1947
Zr: 0.3105 0.3105 0.0000
Zr: 0.4827 0.0173 0.7500
Zr: 0.5000 0.5000 0.5000
Zr: 0.5173 0.9827 0.2500
Zr: 0.6895 0.6895 0.0000
Zr: 0.6896 0.3104 0.8053
Zr: 0.8104 0.1896 0.3053
Zr: 0.8105 0.8105 0.5000
Zr: 0.9827 0.5173 0.7500
Cu: 0.0581 0.6496 0.9922
Cu: 0.1061 0.8939 0.3989
Cu: 0.1244 0.1664 0.7955
Cu: 0.1496 0.5581 0.4922
Cu: 0.1664 0.1244 0.2045
Cu: 0.3336 0.3756 0.7045
Cu: 0.3504 0.9419 0.9922
Cu: 0.3756 0.3336 0.2955
Cu: 0.3939 0.6061 0.8989
Cu: 0.4419 0.8504 0.4922
Cu: 0.5581 0.1496 0.5078
Cu: 0.6061 0.3939 0.1011
Cu: 0.6244 0.6664 0.7045
Cu: 0.6496 0.0581 0.0078
Cu: 0.6664 0.6244 0.2955
Cu: 0.8336 0.8756 0.7955
Cu: 0.8504 0.4419 0.5078
Cu: 0.8756 0.8336 0.2045
Cu: 0.8939 0.1061 0.6011
Cu: 0.9419 0.3504 0.0078

Peak list (12 most intense, 10 to 90 degrees two-theta, by angle)
34.0 deg, d = 2.635 Å, intensity 11; 37.0 deg, d = 2.433 Å, intensity 89; 38.3 deg, d = 2.352 Å, intensity 25; 38.4 deg, d = 2.342 Å, intensity 20; 39.2 deg, d = 2.297 Å, intensity 100; 39.7 deg, d = 2.273 Å, intensity 15; 40.9 deg, d = 2.206 Å, intensity 12; 41.1 deg, d = 2.198 Å, intensity 12; 41.4 deg, d = 2.180 Å, intensity 20; 42.6 deg, d = 2.122 Å, intensity 17; 46.3 deg, d = 1.962 Å, intensity 21; 55.4 deg, d = 1.660 Å, intensity 16


Record 5
Computed X-ray powder pattern
Compound: Zr2Cu
Radiation: Cu Ka
Structure: a DFT-relaxed cell (GGA-PBE, Alexandria)
Neutral-atom scattering factors, no anomalous dispersion.

Crystal structure
a b c (Å): 5.8241 7.5749 2.8170
angles (deg): 90.00 90.00 90.00
Sites, in units of the cell vectors:
Zr: 0.1588 0.1713 0.0000
Zr: 0.3412 0.6713 0.5000
Zr: 0.6589 0.3287 0.5000
Zr: 0.8412 0.8287 0.0000
Cu: 0.0000 0.5000 0.0000
Cu: 0.5000 0.0000 0.5000

Peak list (12 most intense, 10 to 90 degrees two-theta, by angle)
28.1 deg, d = 3.175 Å, intensity 89; 33.0 deg, d = 2.718 Å, intensity 76; 35.4 deg, d = 2.536 Å, intensity 81; 37.4 deg, d = 2.405 Å, intensity 91; 38.9 deg, d = 2.317 Å, intensity 62; 39.0 deg, d = 2.309 Å, intensity 26; 46.4 deg, d = 1.956 Å, intensity 28; 48.4 deg, d = 1.880 Å, intensity 100; 50.7 deg, d = 1.801 Å, intensity 20; 51.2 deg, d = 1.786 Å, intensity 38; 63.1 deg, d = 1.473 Å, intensity 28; 79.7 deg, d = 1.203 Å, intensity 20


Record 6
Computed X-ray powder pattern
Compound: Zr2Cu3
Radiation: Cu Ka
Structure: a DFT-relaxed cell (GGA-PBE, Alexandria)
Neutral-atom scattering factors, no anomalous dispersion.

Crystal structure
a b c (Å): 3.2487 3.2487 15.5458
angles (deg): 90.00 90.00 90.00
Sites, in units of the cell vectors:
Zr: 0.0000 0.0000 0.1071
Zr: 0.0000 0.0000 0.8929
Zr: 0.5000 0.5000 0.3929
Zr: 0.5000 0.5000 0.6071
Cu: 0.0000 0.0000 0.2883
Cu: 0.0000 0.0000 0.5000
Cu: 0.0000 0.0000 0.7117
Cu: 0.5000 0.5000 0.0000
Cu: 0.5000 0.5000 0.2117
Cu: 0.5000 0.5000 0.7883

Peak list (12 most intense, 10 to 90 degrees two-theta, by angle)
28.1 deg, d = 3.180 Å, intensity 3; 32.5 deg, d = 2.752 Å, intensity 4; 39.2 deg, d = 2.297 Å, intensity 57; 40.1 deg, d = 2.246 Å, intensity 100; 46.7 deg, d = 1.943 Å, intensity 2; 56.7 deg, d = 1.624 Å, intensity 19; 59.5 deg, d = 1.555 Å, intensity 6; 62.6 deg, d = 1.484 Å, intensity 3; 71.7 deg, d = 1.316 Å, intensity 33; 73.6 deg, d = 1.287 Å, intensity 12; 84.3 deg, d = 1.149 Å, intensity 6; 86.7 deg, d = 1.123 Å, intensity 11


Record 7
Computed X-ray powder pattern
Compound: Zr3Cu2
Radiation: Cu Ka
Structure: a DFT-relaxed cell (GGA-PBE, Alexandria)
Neutral-atom scattering factors, no anomalous dispersion.

Crystal structure
a b c (Å): 3.2516 3.2516 17.7377
angles (deg): 90.00 90.00 90.00
Sites, in units of the cell vectors:
Zr: 0.0000 0.0000 0.0000
Zr: 0.0000 0.0000 0.1862
Zr: 0.0000 0.0000 0.3774
Zr: 0.0000 0.0000 0.6226
Zr: 0.0000 0.0000 0.8138
Zr: 0.5000 0.5000 0.5000
Cu: 0.5000 0.5000 0.0926
Cu: 0.5000 0.5000 0.2824
Cu: 0.5000 0.5000 0.7176
Cu: 0.5000 0.5000 0.9074

Peak list (12 most intense, 10 to 90 degrees two-theta, by angle)
34.2 deg, d = 2.622 Å, intensity 9; 37.5 deg, d = 2.397 Å, intensity 100; 39.2 deg, d = 2.299 Å, intensity 55; 41.3 deg, d = 2.187 Å, intensity 12; 51.5 deg, d = 1.774 Å, intensity 5; 56.6 deg, d = 1.626 Å, intensity 18; 66.6 deg, d = 1.404 Å, intensity 8; 69.9 deg, d = 1.346 Å, intensity 30; 71.5 deg, d = 1.320 Å, intensity 7; 80.1 deg, d = 1.199 Å, intensity 5; 84.2 deg, d = 1.150 Å, intensity 5; 84.7 deg, d = 1.145 Å, intensity 4


Record 8
Computed X-ray powder pattern
Compound: Dy5Er3
Radiation: Cu Ka
Structure: a DFT-relaxed cell (GGA-PBE, Alexandria)
Neutral-atom scattering factors, no anomalous dispersion.

Crystal structure
a b c (Å): 3.6030 5.5811 12.4781
angles (deg): 90.00 90.00 90.00
Sites, in units of the cell vectors:
Dy: 0.0000 0.0000 0.0000
Dy: 0.0000 0.0000 0.4973
Dy: 0.0000 0.5000 0.8322
Dy: 0.5000 0.0000 0.7488
Dy: 0.5000 0.5000 0.5803
Er: 0.0000 0.5000 0.3305
Er: 0.5000 0.0000 0.2481
Er: 0.5000 0.5000 0.0826

Peak list (12 most intense, 10 to 90 degrees two-theta, by angle)
28.6 deg, d = 3.120 Å, intensity 24; 32.1 deg, d = 2.791 Å, intensity 24; 32.9 deg, d = 2.723 Å, intensity 100; 43.5 deg, d = 2.080 Å, intensity 15; 50.7 deg, d = 1.801 Å, intensity 20; 57.7 deg, d = 1.598 Å, intensity 20; 61.2 deg, d = 1.513 Å, intensity 23; 61.7 deg, d = 1.502 Å, intensity 16; 69.0 deg, d = 1.362 Å, intensity 4; 80.3 deg, d = 1.195 Å, intensity 8; 83.9 deg, d = 1.154 Å, intensity 14; 88.7 deg, d = 1.103 Å, intensity 8


Record 9
Computed X-ray powder pattern
Compound: Dy3Er7
Radiation: Cu Ka
Structure: a DFT-relaxed cell (GGA-PBE, Alexandria)
Neutral-atom scattering factors, no anomalous dispersion.

Crystal structure
a b c (Å): 9.2773 9.2773 7.0307
angles (deg): 100.89 100.89 30.94
Sites, in units of the cell vectors:
Dy: 0.0000 0.0000 0.0000
Dy: 0.1998 0.1998 0.5997
Dy: 0.8002 0.8002 0.4003
Er: 0.0000 0.0000 0.5000
Er: 0.1999 0.1999 0.0996
Er: 0.3999 0.3999 0.2002
Er: 0.4001 0.4001 0.7005
Er: 0.5999 0.5999 0.2995
Er: 0.6001 0.6001 0.7998
Er: 0.8001 0.8001 0.9004

Peak list (12 most intense, 10 to 90 degrees two-theta, by angle)
31.2 deg, d = 2.864 Å, intensity 100; 36.2 deg, d = 2.483 Å, intensity 34; 36.3 deg, d = 2.475 Å, intensity 17; 52.0 deg, d = 1.758 Å, intensity 6; 52.2 deg, d = 1.753 Å, intensity 30; 62.0 deg, d = 1.497 Å, intensity 21; 62.1 deg, d = 1.495 Å, intensity 14; 62.2 deg, d = 1.493 Å, intensity 7; 65.1 deg, d = 1.433 Å, intensity 6; 65.2 deg, d = 1.431 Å, intensity 6; 85.3 deg, d = 1.138 Å, intensity 12; 88.0 deg, d = 1.110 Å, intensity 8


Record 10
Computed X-ray powder pattern
Compound: Dy3Er5
Radiation: Cu Ka
Structure: a DFT-relaxed cell (GGA-PBE, Alexandria)
Neutral-atom scattering factors, no anomalous dispersion.

Crystal structure
a b c (Å): 3.5938 5.5625 12.4444
angles (deg): 90.00 90.00 90.00
Sites, in units of the cell vectors:
Dy: 0.0000 0.0000 0.0000
Dy: 0.0000 0.5000 0.1690
Dy: 0.5000 0.0000 0.2520
Er: 0.0000 0.0000 0.5022
Er: 0.0000 0.5000 0.6682
Er: 0.5000 0.0000 0.7504
Er: 0.5000 0.5000 0.4197
Er: 0.5000 0.5000 0.9169

Peak list (12 most intense, 10 to 90 degrees two-theta, by angle)
28.7 deg, d = 3.112 Å, intensity 24; 32.2 deg, d = 2.781 Å, intensity 24; 33.0 deg, d = 2.716 Å, intensity 100; 43.6 deg, d = 2.074 Å, intensity 15; 50.8 deg, d = 1.797 Å, intensity 20; 57.9 deg, d = 1.593 Å, intensity 20; 61.4 deg, d = 1.509 Å, intensity 23; 61.9 deg, d = 1.498 Å, intensity 16; 69.2 deg, d = 1.358 Å, intensity 4; 80.6 deg, d = 1.192 Å, intensity 8; 84.1 deg, d = 1.151 Å, intensity 14; 89.0 deg, d = 1.100 Å, intensity 8


Record 11
Computed X-ray powder pattern
Compound: Dy2Er7
Radiation: Cu Ka
Structure: a DFT-relaxed cell (GGA-PBE, Alexandria)
Neutral-atom scattering factors, no anomalous dispersion.

Crystal structure
a b c (Å): 9.5372 9.5372 3.5236
angles (deg): 90.00 90.00 120.00
Sites, in units of the cell vectors:
Dy: 0.3333 0.6667 0.0000
Dy: 0.6667 0.3333 0.0000
Er: 0.0000 0.0000 0.5000
Er: 0.0000 0.3602 0.5000
Er: 0.0000 0.6953 0.0000
Er: 0.3047 0.3047 0.0000
Er: 0.3602 0.0000 0.5000
Er: 0.6398 0.6398 0.5000
Er: 0.6953 0.0000 0.0000

Peak list (12 most intense, 10 to 90 degrees two-theta, by angle)
31.6 deg, d = 2.834 Å, intensity 81; 32.5 deg, d = 2.753 Å, intensity 100; 33.4 deg, d = 2.680 Å, intensity 26; 38.5 deg, d = 2.337 Å, intensity 19; 46.0 deg, d = 1.975 Å, intensity 24; 51.9 deg, d = 1.762 Å, intensity 10; 55.0 deg, d = 1.669 Å, intensity 20; 57.4 deg, d = 1.605 Å, intensity 21; 58.0 deg, d = 1.590 Å, intensity 15; 62.6 deg, d = 1.484 Å, intensity 34; 81.6 deg, d = 1.180 Å, intensity 12; 87.1 deg, d = 1.119 Å, intensity 9


Record 12
Computed X-ray powder pattern
Compound: Dy4Er
Radiation: Cu Ka
Structure: a DFT-relaxed cell (GGA-PBE, Alexandria)
Neutral-atom scattering factors, no anomalous dispersion.

Crystal structure
a b c (Å): 6.1081 3.5301 14.4947
angles (deg): 90.00 97.94 90.00
Sites, in units of the cell vectors:
Dy: 0.1005 0.0000 0.3008
Dy: 0.2004 0.5000 0.1002
Dy: 0.2996 0.0000 0.8998
Dy: 0.3995 0.5000 0.6992
Dy: 0.6005 0.5000 0.3008
Dy: 0.7004 0.0000 0.1002
Dy: 0.7996 0.5000 0.8998
Dy: 0.8995 0.0000 0.6992
Er: 0.0000 0.5000 0.5000
Er: 0.5000 0.0000 0.5000

Peak list (12 most intense, 10 to 90 degrees two-theta, by angle)
31.1 deg, d = 2.880 Å, intensity 100; 31.2 deg, d = 2.871 Å, intensity 33; 36.0 deg, d = 2.492 Å, intensity 67; 51.8 deg, d = 1.764 Å, intensity 32; 52.0 deg, d = 1.759 Å, intensity 16; 61.7 deg, d = 1.504 Å, intensity 33; 61.8 deg, d = 1.501 Å, intensity 19; 64.7 deg, d = 1.440 Å, intensity 12; 84.7 deg, d = 1.145 Å, intensity 14; 84.9 deg, d = 1.142 Å, intensity 6; 87.4 deg, d = 1.116 Å, intensity 7; 87.6 deg, d = 1.114 Å, intensity 11